No. 1
Calculated powder diffractogram
Compound: K12Rb2Cd
Radiation: copper Kα
Structure: a structure optimized by DFT (GGA-PBE)
No peak broadening, texture or thermal motion is included.

Cell and atoms:
```
data_K12Rb2Cd
_chemical_formula_sum 'K24 Rb4 Cd2'
_cell_length_a 8.6620
_cell_length_b 8.6620
_cell_length_c 29.9332
_cell_angle_alpha 90.00
_cell_angle_beta 90.00
_cell_angle_gamma 90.00
_symmetry_space_group_name_H-M 'P 4/n b m'
_symmetry_Int_Tables_number 125
loop_
_symmetry_equiv_pos_as_xyz
'x,y,z'
'-x,-y,-z'
'-y+1/2,x,z'
'y+1/2,-x,-z'
'-x+1/2,-y+1/2,z'
'x+1/2,y+1/2,-z'
'y,-x+1/2,z'
'-y,x+1/2,-z'
'x,-y+1/2,-z'
'-x,y+1/2,z'
'-y+1/2,-x+1/2,-z'
'y+1/2,x+1/2,z'
'-x+1/2,y,-z'
'x+1/2,-y,z'
'y,x,-z'
'-y,-x,z'
loop_
_atom_site_label
_atom_site_fract_x
_atom_site_fract_y
_atom_site_fract_z
K1 0.0000 0.0000 0.0710
K2 0.0737 0.5737 0.4328
K3 0.2500 0.2500 0.1824
K4 0.2500 0.2500 0.3253
Rb1 0.2500 0.7500 0.2504
Cd1 0.2500 0.7500 0.0000
```

Most intense lines, 2θ from 10° to 90°, sorted by position:
- 2θ = 18.72°, I = 100, (1 1 4)
- 2θ = 21.36°, I = 81, (2 0 2)
- 2θ = 22.99°, I = 33, (1 1 6)
- 2θ = 23.74°, I = 62, (2 0 4)
- 2θ = 25.39°, I = 29, (1 1 7)
- 2θ = 27.27°, I = 40, (2 0 6)
- 2θ = 27.94°, I = 59, (1 1 8)
- 2θ = 29.16°, I = 78, (2 2 0)
- 2θ = 31.59°, I = 51, (2 0 8)
- 2θ = 34.88°, I = 44, (3 1 4)
- 2θ = 40.83°, I = 63, (3 1 8)
- 2θ = 46.96°, I = 30, (2 2 12)

=====

No. 2
Calculated powder diffractogram
Compound: Sr3Al
Radiation: copper Kα
Structure: a structure optimized by DFT (GGA-PBE)
No peak broadening, texture or thermal motion is included.

Cell and atoms:
```
data_Sr3Al
_chemical_formula_sum 'Sr6 Al2'
_cell_length_a 5.8918
_cell_length_b 7.6665
_cell_length_c 6.9300
_cell_angle_alpha 90.00
_cell_angle_beta 90.00
_cell_angle_gamma 90.00
_symmetry_space_group_name_H-M 'P m m n'
_symmetry_Int_Tables_number 59
loop_
_symmetry_equiv_pos_as_xyz
'x,y,z'
'-x,-y,-z'
'-x+1/2,-y+1/2,z'
'x+1/2,y+1/2,-z'
'x+1/2,-y,-z'
'-x+1/2,y,z'
'-x,y+1/2,-z'
'x,-y+1/2,z'
loop_
_atom_site_label
_atom_site_fract_x
_atom_site_fract_y
_atom_site_fract_z
Sr1 0.2500 0.0029 0.1564
Sr2 0.2500 0.2500 0.6078
Al1 0.2500 0.7500 0.7097
```

Most intense lines, 2θ from 10° to 90°, sorted by position:
- 2θ = 22.96°, I = 14, (1 1 1)
- 2θ = 26.57°, I = 42, (0 2 1)
- 2θ = 29.92°, I = 70, (1 0 2)
- 2θ = 30.34°, I = 42, (2 0 0)
- 2θ = 30.67°, I = 100, (1 2 1)
- 2θ = 40.77°, I = 30, (2 2 1)
- 2θ = 45.86°, I = 16, (0 2 3)
- 2θ = 53.64°, I = 13, (3 0 2)
- 2θ = 54.11°, I = 20, (3 2 1)
- 2θ = 55.99°, I = 18, (2 2 3)
- 2θ = 57.10°, I = 22, (1 4 2)
- 2θ = 57.35°, I = 13, (2 4 0)

=====

No. 3
Calculated powder diffractogram
Compound: ZrTaNi6
Radiation: copper Kα
Structure: a structure optimized by DFT (GGA-PBE)
No peak broadening, texture or thermal motion is included.

Cell and atoms:
```
data_ZrTaNi6
_chemical_formula_sum 'Zr8 Ta8 Ni48'
_cell_length_a 7.3021
_cell_length_b 10.4083
_cell_length_c 10.8876
_cell_angle_alpha 90.00
_cell_angle_beta 90.00
_cell_angle_gamma 90.00
_symmetry_space_group_name_H-M 'C m m m'
_symmetry_Int_Tables_number 65
_symmetry_space_group_name_Hall '-C 2 2'
loop_
_atom_site_label
_atom_site_fract_x
_atom_site_fract_y
_atom_site_fract_z
Zr1 0.0000 0.0000 0.2483
Zr2 0.0000 0.2487 0.5000
Ta1 0.0000 0.2482 0.0000
Ta2 0.0000 0.5000 0.2492
Ni1 0.0000 0.0000 0.0000
Ni2 0.0000 0.0000 0.5000
Ni3 0.0000 0.2538 0.2427
Ni4 0.0000 0.5000 0.0000
Ni5 0.0000 0.5000 0.5000
Ni6 0.2452 0.3745 0.1190
Ni7 0.2456 0.3752 0.3682
```

Most intense lines, 2θ from 10° to 90°, sorted by position:
- 2θ = 23.65°, I = 20, (0 2 2)
- 2θ = 34.23°, I = 15, (2 2 2)
- 2θ = 41.38°, I = 100, (2 0 4)
- 2θ = 42.67°, I = 92, (2 4 0)
- 2θ = 48.39°, I = 64, (0 4 4)
- 2θ = 49.96°, I = 29, (4 0 0)
- 2θ = 69.01°, I = 10, (0 0 8)
- 2θ = 72.10°, I = 36, (4 4 4)
- 2θ = 84.63°, I = 22, (2 4 8)
- 2θ = 87.24°, I = 22, (2 8 4)
- 2θ = 87.88°, I = 11, (6 0 4)
- 2θ = 88.74°, I = 10, (6 4 0)

=====

No. 4
Calculated powder diffractogram
Compound: PrHo6Tm6
Radiation: copper Kα
Structure: a structure optimized by DFT (GGA-PBE)
No peak broadening, texture or thermal motion is included.

Cell and atoms:
```
data_PrHo6Tm6
_chemical_formula_sum 'Pr1 Ho6 Tm6'
_cell_length_a 6.5368
_cell_length_b 10.9162
_cell_length_c 6.5588
_cell_angle_alpha 90.00
_cell_angle_beta 115.62
_cell_angle_gamma 90.00
_symmetry_space_group_name_H-M 'P 1 2/m 1'
_symmetry_Int_Tables_number 10
loop_
_symmetry_equiv_pos_as_xyz
'x,y,z'
'-x,-y,-z'
'-x,y,-z'
'x,-y,z'
loop_
_atom_site_label
_atom_site_fract_x
_atom_site_fract_y
_atom_site_fract_z
Pr1 0.0000 0.0000 0.0000
Ho1 0.0000 0.3373 0.0000
Ho2 0.2670 0.5000 0.7378
Ho3 0.3438 0.0000 0.6307
Tm1 0.0000 0.2310 0.5000
Tm2 0.5000 0.2234 0.0000
Tm3 0.5000 0.3007 0.5000
```

Most intense lines, 2θ from 10° to 90°, sorted by position:
- 2θ = 29.36°, I = 71, (1 3 -1)
- 2θ = 30.23°, I = 26, (0 0 2)
- 2θ = 30.38°, I = 63, (2 0 0)
- 2θ = 31.95°, I = 30, (2 2 -1)
- 2θ = 32.31°, I = 38, (2 0 -2)
- 2θ = 32.82°, I = 26, (0 4 0)
- 2θ = 34.55°, I = 100, (2 2 0)
- 2θ = 35.66°, I = 27, (1 3 1)
- 2θ = 36.36°, I = 21, (2 2 -2)
- 2θ = 36.71°, I = 20, (1 4 -1)
- 2θ = 39.30°, I = 20, (0 3 2)
- 2θ = 57.10°, I = 20, (1 6 1)

=====

No. 5
Calculated powder diffractogram
Compound: NdDyMg4
Radiation: copper Kα
Structure: a structure optimized by DFT (GGA-PBE)
No peak broadening, texture or thermal motion is included.

Cell and atoms:
```
data_NdDyMg4
_chemical_formula_sum 'Nd4 Dy4 Mg16'
_cell_length_a 8.5985
_cell_length_b 8.5985
_cell_length_c 8.5985
_cell_angle_alpha 90.00
_cell_angle_beta 90.00
_cell_angle_gamma 90.00
_symmetry_space_group_name_H-M 'F -4 3 m'
_symmetry_Int_Tables_number 216
_symmetry_space_group_name_Hall 'F -4 2 3'
loop_
_atom_site_label
_atom_site_fract_x
_atom_site_fract_y
_atom_site_fract_z
Nd1 0.0000 0.0000 0.0000
Dy1 0.2500 0.2500 0.2500
Mg1 0.1249 0.1249 0.6249
```

Most intense lines, 2θ from 10° to 90°, sorted by position:
- 2θ = 17.87°, I = 63, (1 1 1)
- 2θ = 29.38°, I = 100, (2 2 0)
- 2θ = 34.60°, I = 100, (3 1 1)
- 2θ = 46.01°, I = 17, (3 3 1)
- 2θ = 52.11°, I = 41, (4 2 2)
- 2θ = 55.53°, I = 34, (5 1 1)
- 2θ = 60.95°, I = 22, (4 4 0)
- 2θ = 64.07°, I = 13, (5 3 1)
- 2θ = 69.09°, I = 17, (6 2 0)
- 2θ = 72.02°, I = 12, (5 3 3)
- 2θ = 84.28°, I = 21, (6 4 2)
- 2θ = 87.05°, I = 21, (7 3 1)

=====

No. 6
Calculated powder diffractogram
Compound: Pm3As2PtRh9
Radiation: copper Kα
Structure: a structure optimized by DFT (GGA-PBE)
No peak broadening, texture or thermal motion is included.

Cell and atoms:
```
data_Pm3As2PtRh9
_chemical_formula_sum 'Pm3 As2 Pt1 Rh9'
_cell_length_a 5.6008
_cell_length_b 5.6008
_cell_length_c 11.1803
_cell_angle_alpha 90.00
_cell_angle_beta 90.00
_cell_angle_gamma 120.00
_symmetry_space_group_name_H-M 'P -3 m 1'
_symmetry_Int_Tables_number 164
_symmetry_space_group_name_Hall '-P 3 2"'
loop_
_atom_site_label
_atom_site_fract_x
_atom_site_fract_y
_atom_site_fract_z
Pm1 0.0000 0.0000 0.0000
Pm2 0.3333 0.6667 0.5795
As1 0.3333 0.6667 0.1608
Pt1 0.0000 0.0000 0.5000
Rh1 0.0000 0.5000 0.0000
Rh2 0.1600 0.3200 0.3108
```

Most intense lines, 2θ from 10° to 90°, sorted by position:
- 2θ = 19.95°, I = 18, (1 0 1)
- 2θ = 23.88°, I = 26, (0 0 3)
- 2θ = 30.24°, I = 18, (1 0 3)
- 2θ = 31.97°, I = 23, (1 1 0)
- 2θ = 35.87°, I = 26, (1 1 2)
- 2θ = 37.12°, I = 23, (0 1 4)
- 2θ = 37.96°, I = 49, (0 2 1)
- 2θ = 40.28°, I = 22, (1 1 3)
- 2θ = 40.55°, I = 100, (2 0 2)
- 2θ = 44.62°, I = 19, (0 1 5)
- 2θ = 49.78°, I = 34, (0 2 4)
- 2θ = 66.81°, I = 28, (2 2 0)

=====

No. 7
Calculated powder diffractogram
Compound: Ti3Rh8
Radiation: copper Kα
Structure: a structure optimized by DFT (GGA-PBE)
No peak broadening, texture or thermal motion is included.

Cell and atoms:
```
data_Ti3Rh8
_chemical_formula_sum 'Ti9 Rh24'
_cell_length_a 7.8375
_cell_length_b 7.8375
_cell_length_c 9.9707
_cell_angle_alpha 90.00
_cell_angle_beta 90.00
_cell_angle_gamma 120.00
_symmetry_space_group_name_H-M 'R -3'
_symmetry_Int_Tables_number 148
_symmetry_space_group_name_Hall '-R 3'
loop_
_atom_site_label
_atom_site_fract_x
_atom_site_fract_y
_atom_site_fract_z
Ti1 0.0000 0.5000 0.0000
Rh1 0.0000 0.0000 0.3745
Rh2 0.0226 0.8007 0.1135
```

Most intense lines, 2θ from 10° to 90°, sorted by position:
- 2θ = 35.41°, I = 30, (1 1 3)
- 2θ = 36.15°, I = 100, (3 -1 1)
- 2θ = 38.47°, I = 44, (1 0 4)
- 2θ = 39.51°, I = 48, (3 -2 2)
- 2θ = 51.92°, I = 7, (4 -1 2)
- 2θ = 53.28°, I = 12, (2 0 5)
- 2θ = 54.35°, I = 25, (2 2 3)
- 2θ = 58.64°, I = 10, (3 -2 5)
- 2θ = 61.75°, I = 7, (4 -3 4)
- 2θ = 62.73°, I = 19, (4 1 0)
- 2θ = 76.49°, I = 7, (2 1 7)
- 2θ = 80.58°, I = 9, (0 5 4)

=====

No. 8
Calculated powder diffractogram
Compound: TcIr6Rh
Radiation: copper Kα
Structure: a structure optimized by DFT (GGA-PBE)
No peak broadening, texture or thermal motion is included.

Cell and atoms:
```
data_TcIr6Rh
_chemical_formula_sum 'Tc1 Ir6 Rh1'
_cell_length_a 3.8682
_cell_length_b 3.8682
_cell_length_c 7.7344
_cell_angle_alpha 90.00
_cell_angle_beta 90.00
_cell_angle_gamma 90.00
_symmetry_space_group_name_H-M 'P 4/m m m'
_symmetry_Int_Tables_number 123
_symmetry_space_group_name_Hall '-P 4 2'
loop_
_atom_site_label
_atom_site_fract_x
_atom_site_fract_y
_atom_site_fract_z
Tc1 0.0000 0.0000 0.0000
Ir1 0.0000 0.5000 0.2466
Ir2 0.5000 0.5000 0.0000
Ir3 0.5000 0.5000 0.5000
Rh1 0.0000 0.0000 0.5000
```

Most intense lines, 2θ from 10° to 90°, sorted by position:
- 2θ = 22.99°, I = 5, (1 0 0)
- 2θ = 32.74°, I = 4, (1 1 0)
- 2θ = 40.39°, I = 100, (1 1 2)
- 2θ = 46.99°, I = 49, (2 0 0)
- 2θ = 52.93°, I = 2, (2 1 0)
- 2θ = 58.45°, I = 2, (2 1 2)
- 2θ = 68.63°, I = 32, (2 2 0)
- 2θ = 73.45°, I = 1, (3 0 0)
- 2θ = 78.14°, I = 1, (3 1 0)
- 2θ = 82.76°, I = 38, (3 1 2)
- 2θ = 87.33°, I = 11, (2 2 4)

=====

No. 9
Calculated powder diffractogram
Compound: Li2CaMgAg4
Radiation: copper Kα
Structure: a structure optimized by DFT (GGA-PBE)
No peak broadening, texture or thermal motion is included.

Cell and atoms:
```
data_Li2CaMgAg4
_chemical_formula_sum 'Li6 Ca3 Mg3 Ag12'
_cell_length_a 4.6242
_cell_length_b 4.6242
_cell_length_c 25.8996
_cell_angle_alpha 90.00
_cell_angle_beta 90.00
_cell_angle_gamma 120.00
_symmetry_space_group_name_H-M 'R -3 m'
_symmetry_Int_Tables_number 166
_symmetry_space_group_name_Hall '-R 3 2"'
loop_
_atom_site_label
_atom_site_fract_x
_atom_site_fract_y
_atom_site_fract_z
Li1 0.0000 0.0000 0.2394
Ca1 0.0000 0.0000 0.0000
Mg1 0.0000 0.0000 0.5000
Ag1 0.0000 0.0000 0.1260
Ag2 0.0000 0.0000 0.3957
```

Most intense lines, 2θ from 10° to 90°, sorted by position:
- 2θ = 23.25°, I = 15, (0 1 2)
- 2θ = 26.16°, I = 100, (1 0 4)
- 2θ = 32.96°, I = 20, (1 0 7)
- 2θ = 35.66°, I = 65, (0 1 8)
- 2θ = 38.95°, I = 82, (1 1 0)
- 2θ = 41.52°, I = 17, (1 0 10)
- 2θ = 44.65°, I = 17, (0 1 11)
- 2θ = 47.53°, I = 19, (0 2 4)
- 2θ = 53.83°, I = 19, (2 0 8)
- 2θ = 63.07°, I = 16, (2 1 4)
- 2θ = 67.73°, I = 16, (1 1 15)
- 2θ = 68.42°, I = 18, (1 2 8)

=====

No. 10
Calculated powder diffractogram
Compound: Zr3InAu
Radiation: copper Kα
Structure: a structure optimized by DFT (GGA-PBE)
No peak broadening, texture or thermal motion is included.

Cell and atoms:
```
data_Zr3InAu
_chemical_formula_sum 'Zr6 In2 Au2'
_cell_length_a 9.2283
_cell_length_b 3.1610
_cell_length_c 7.6888
_cell_angle_alpha 90.00
_cell_angle_beta 90.00
_cell_angle_gamma 90.00
_symmetry_space_group_name_H-M 'P m m a'
_symmetry_Int_Tables_number 51
loop_
_symmetry_equiv_pos_as_xyz
'x,y,z'
'-x,-y,-z'
'-x+1/2,-y,z'
'x+1/2,y,-z'
'x+1/2,-y,-z'
'-x+1/2,y,z'
'-x,y,-z'
'x,-y,z'
loop_
_atom_site_label
_atom_site_fract_x
_atom_site_fract_y
_atom_site_fract_z
Zr1 0.0732 0.0000 0.1810
Zr2 0.2500 0.0000 0.5435
In1 0.2500 0.5000 0.8998
Au1 0.0000 0.5000 0.5000
```

Most intense lines, 2θ from 10° to 90°, sorted by position:
- 2θ = 11.51°, I = 22, (0 0 1)
- 2θ = 22.47°, I = 19, (2 0 1)
- 2θ = 23.14°, I = 14, (0 0 2)
- 2θ = 31.32°, I = 25, (3 0 1)
- 2θ = 35.01°, I = 31, (0 0 3)
- 2θ = 36.38°, I = 100, (2 1 1)
- 2θ = 36.81°, I = 18, (0 1 2)
- 2θ = 38.13°, I = 21, (1 1 2)
- 2θ = 41.86°, I = 33, (2 1 2)
- 2θ = 45.87°, I = 15, (4 0 2)
- 2θ = 59.77°, I = 15, (2 1 4)
- 2θ = 67.76°, I = 18, (0 1 5)